Simulated powder X-ray diffraction pattern
Compound: LiBeCo2
Radiation: copper Kα
Structure: the GGA-PBE geometry in Alexandria

Cell and atoms:
a b c (Å): 2.377 3.539 4.898
angles (deg): 90.00 90.00 90.00
Positions (direct):
1 Li 0.000 0.000 0.000
2 Be 0.000 0.000 0.500
3 Co 0.500 0.500 0.265
4 Co 0.500 0.500 0.735

Largest 12 diffraction maxima, sorted by position, 2θ = 5–70°:
2θ = 18.1°, rel. 3; 2θ = 25.2°, rel. 100; 2θ = 36.7°, rel. 35; 2θ = 37.8°, rel. 34; 2θ = 45.0°, rel. 55; 2θ = 46.0°, rel. 54; 2θ = 51.7°, rel. 19; 2θ = 53.7°, rel. 32; 2θ = 60.2°, rel. 30; 2θ = 62.7°, rel. 1; 2θ = 65.0°, rel. 12; 2θ = 65.8°, rel. 12


Simulated powder X-ray diffraction pattern
Compound: KUBi2S5
Radiation: copper Kα
Structure: the GGA-PBE geometry in Alexandria

Cell and atoms:
a b c (Å): 8.118 8.118 8.118
angles (deg): 142.56 125.37 68.11
Positions (direct):
1 K 0.000 0.000 0.000
2 U 0.500 0.500 0.000
3 Bi 0.279 0.779 0.500
4 Bi 0.721 0.221 0.500
5 S 0.109 0.359 0.750
6 S 0.391 0.641 0.750
7 S 0.500 0.000 0.500
8 S 0.609 0.359 0.250
9 S 0.891 0.641 0.250

Largest 12 diffraction maxima, sorted by position, 2θ = 5–70°:
2θ = 13.6°, rel. 44; 2θ = 23.9°, rel. 23; 2θ = 24.7°, rel. 100; 2θ = 26.5°, rel. 13; 2θ = 34.4°, rel. 20; 2θ = 35.5°, rel. 16; 2θ = 35.8°, rel. 24; 2θ = 36.0°, rel. 27; 2θ = 42.5°, rel. 25; 2θ = 50.3°, rel. 12; 2θ = 50.6°, rel. 29; 2θ = 56.1°, rel. 11


Simulated powder X-ray diffraction pattern
Compound: B2Te5Pd12
Radiation: copper Kα
Structure: the GGA-PBE geometry in Alexandria

Cell and atoms:
a b c (Å): 7.596 7.596 8.465
angles (deg): 92.13 92.13 47.80
Positions (direct):
1 B 0.245 0.755 0.000
2 B 0.755 0.245 0.000
3 Te 0.000 0.000 0.500
4 Te 0.278 0.278 0.821
5 Te 0.320 0.320 0.354
6 Te 0.680 0.680 0.646
7 Te 0.722 0.722 0.179
8 Pd 0.024 0.024 0.172
9 Pd 0.087 0.614 0.603
10 Pd 0.115 0.597 0.062
11 Pd 0.386 0.913 0.397
12 Pd 0.403 0.885 0.938
13 Pd 0.475 0.475 0.829
14 Pd 0.525 0.525 0.171
15 Pd 0.597 0.115 0.062
16 Pd 0.614 0.087 0.603
17 Pd 0.885 0.403 0.938
18 Pd 0.913 0.386 0.397
19 Pd 0.976 0.976 0.828

Largest 12 diffraction maxima, sorted by position, 2θ = 5–70°:
2θ = 24.1°, rel. 46; 2θ = 26.6°, rel. 71; 2θ = 36.1°, rel. 42; 2θ = 38.1°, rel. 89; 2θ = 38.7°, rel. 44; 2θ = 38.9°, rel. 35; 2θ = 39.1°, rel. 100; 2θ = 40.4°, rel. 37; 2θ = 43.5°, rel. 33; 2θ = 43.8°, rel. 37; 2θ = 45.3°, rel. 45; 2θ = 60.1°, rel. 31


Simulated powder X-ray diffraction pattern
Compound: Pr13Pb2
Radiation: copper Kα
Structure: the GGA-PBE geometry in Alexandria

Cell and atoms:
a b c (Å): 6.853 9.133 9.287
angles (deg): 65.50 81.87 82.54
Positions (direct):
1 Pr 0.000 0.000 0.000
2 Pr 0.104 0.436 0.753
3 Pr 0.195 0.194 0.209
4 Pr 0.288 0.954 0.634
5 Pr 0.299 0.624 0.978
6 Pr 0.392 0.392 0.409
7 Pr 0.474 0.830 0.180
8 Pr 0.526 0.170 0.820
9 Pr 0.608 0.608 0.591
10 Pr 0.701 0.376 0.022
11 Pr 0.712 0.046 0.366
12 Pr 0.805 0.806 0.791
13 Pr 0.896 0.564 0.247
14 Pb 0.082 0.768 0.433
15 Pb 0.918 0.232 0.567

Largest 12 diffraction maxima, sorted by position, 2θ = 5–70°:
2θ = 30.4°, rel. 47; 2θ = 30.5°, rel. 20; 2θ = 30.6°, rel. 51; 2θ = 30.8°, rel. 48; 2θ = 31.0°, rel. 100; 2θ = 31.0°, rel. 20; 2θ = 43.7°, rel. 19; 2θ = 51.0°, rel. 13; 2θ = 54.5°, rel. 24; 2θ = 55.3°, rel. 14; 2θ = 60.3°, rel. 15; 2θ = 60.6°, rel. 16


Simulated powder X-ray diffraction pattern
Compound: BeInSn2As4
Radiation: copper Kα
Structure: the GGA-PBE geometry in Alexandria

Cell and atoms:
a b c (Å): 7.302 7.277 6.031
angles (deg): 65.78 65.35 48.87
Positions (direct):
1 Be 0.000 0.000 0.000
2 In 0.500 0.500 0.500
3 Sn 0.251 0.251 0.249
4 Sn 0.751 0.751 0.749
5 As 0.111 0.667 0.889
6 As 0.332 0.887 0.113
7 As 0.667 0.111 0.333
8 As 0.887 0.332 0.668

Largest 12 diffraction maxima, sorted by position, 2θ = 5–70°:
2θ = 25.7°, rel. 99; 2θ = 25.8°, rel. 100; 2θ = 27.0°, rel. 15; 2θ = 33.4°, rel. 14; 2θ = 42.2°, rel. 25; 2θ = 42.6°, rel. 24; 2θ = 42.8°, rel. 93; 2θ = 50.1°, rel. 29; 2θ = 50.4°, rel. 28; 2θ = 51.0°, rel. 14; 2θ = 61.5°, rel. 14; 2θ = 68.6°, rel. 17


Simulated powder X-ray diffraction pattern
Compound: NaPrTi2O6
Radiation: copper Kα
Structure: the GGA-PBE geometry in Alexandria

Cell and atoms:
a b c (Å): 7.741 5.563 5.471
angles (deg): 90.00 90.00 90.00
Positions (direct):
1 Na 0.000 0.229 0.000
2 Na 0.500 0.771 0.500
3 Pr 0.000 0.701 0.509
4 Pr 0.500 0.299 0.009
5 Ti 0.247 0.238 0.513
6 Ti 0.253 0.762 0.013
7 Ti 0.747 0.762 0.013
8 Ti 0.753 0.238 0.513
9 O 0.000 0.263 0.429
10 O 0.000 0.764 0.064
11 O 0.214 0.959 0.701
12 O 0.217 0.464 0.770
13 O 0.283 0.536 0.270
14 O 0.286 0.041 0.201
15 O 0.500 0.236 0.564
16 O 0.500 0.737 0.929
17 O 0.714 0.041 0.201
18 O 0.717 0.536 0.270
19 O 0.783 0.464 0.770
20 O 0.786 0.959 0.701

Largest 12 diffraction maxima, sorted by position, 2θ = 5–70°:
2θ = 19.7°, rel. 43; 2θ = 19.9°, rel. 51; 2θ = 32.2°, rel. 23; 2θ = 32.6°, rel. 100; 2θ = 32.7°, rel. 26; 2θ = 38.5°, rel. 26; 2θ = 40.4°, rel. 12; 2θ = 46.6°, rel. 33; 2θ = 47.0°, rel. 20; 2θ = 57.6°, rel. 12; 2θ = 58.4°, rel. 34; 2θ = 68.3°, rel. 17


What is the formula in the second record?
KUBi2S5


Which formula does entry 5 have?
BeInSn2As4